Structure and simulated powder XRD pattern of Li7WO6 (a DFT-relaxed cell (GGA+U, Alexandria); copper Kα).
No peak broadening, texture or thermal motion is included.

Crystal structure
```
Li7WO6
1.0
2.8007 1.6170 4.9239
-2.8007 1.6170 4.9239
0.0000 -3.2340 4.9239
Li W O
7 1 6
direct
0.0000 0.0000 0.0000 Li
0.1573 0.5326 0.9284 Li
0.1643 0.7213 0.4188 Li
0.4188 0.1643 0.7213 Li
0.5326 0.9284 0.1573 Li
0.7213 0.4188 0.1643 Li
0.9284 0.1573 0.5326 Li
0.6529 0.6529 0.6529 W
0.0133 0.4229 0.7679 O
0.2790 0.8571 0.5783 O
0.4229 0.7679 0.0133 O
0.5783 0.2790 0.8571 O
0.7679 0.0133 0.4229 O
0.8571 0.5783 0.2790 O
```

Principal peaks in the range 2θ from 15° to 90°, by angle:
| 2θ (°) | intensity |
| --- | --- |
| 18.02 | 32 |
| 19.26 | 100 |
| 21.92 | 74 |
| 30.42 | 27 |
| 36.92 | 44 |
| 49.28 | 26 |